No. 1
Computed powder diffractogram of AlHg2O2F5 for copper Kα, from a cell relaxed with PBE.
No peak broadening, texture or thermal motion is included.

Principal peaks in the range 2θ from 5° to 70°, by intensity:
2theta  Rel. int.
27.65  100.0
19.81  44.3
39.88  39.6
49.68  27.7
30.54  27.4
42.10  20.0
36.76  19.9
40.24  18.3

Crystal structure
abc: 7.069 7.069 7.069
angles: 113.70 113.70 101.31
Positions (direct):
Al  0.000  0.000  0.000
Al  0.500  0.500  0.000
Hg  0.091  0.591  0.161
Hg  0.430  0.930  0.839
Hg  0.591  0.430  0.500
Hg  0.930  0.091  0.500
O  0.147  0.908  0.500
O  0.408  0.647  0.500
O  0.647  0.147  0.239
O  0.908  0.408  0.761
F  0.030  0.259  0.226
F  0.033  0.804  0.774
F  0.259  0.033  0.228
F  0.301  0.301  0.000
F  0.304  0.533  0.774
F  0.530  0.304  0.772
F  0.533  0.759  0.228
F  0.759  0.530  0.226
F  0.801  0.801  0.000
F  0.804  0.030  0.772

---

No. 2
Computed powder diffractogram of Ho2AlF for copper Kα, from a cell relaxed with PBE.
No peak broadening, texture or thermal motion is included.

Principal peaks in the range 2θ from 5° to 70°, by intensity:
2theta  Rel. int.
33.03  100.0
29.90  78.1
51.00  33.0
23.89  31.7
43.60  30.6
11.88  20.3
57.07  18.6
40.55  17.0

Crystal structure
abc: 3.581 3.581 22.351
angles: 90.00 90.00 120.00
Positions (direct):
Ho  0.000  0.000  0.235
Ho  0.000  0.000  0.765
Ho  0.333  0.667  0.432
Ho  0.333  0.667  0.902
Ho  0.667  0.333  0.098
Ho  0.667  0.333  0.568
Al  0.000  0.000  0.000
Al  0.333  0.667  0.667
Al  0.667  0.333  0.333
F  0.000  0.000  0.500
F  0.333  0.667  0.167
F  0.667  0.333  0.833

---

No. 3
Computed powder diffractogram of AlIF6 for copper Kα, from a cell relaxed with PBE.
No peak broadening, texture or thermal motion is included.

Principal peaks in the range 2θ from 5° to 70°, by intensity:
2theta  Rel. int.
19.44  100.0
24.07  50.2
24.99  47.9
29.64  36.8
33.44  27.9
34.92  22.6
20.79  22.4
17.67  17.5

Crystal structure
abc: 4.860 5.521 5.527
angles: 111.17 114.78 92.09
Positions (direct):
Al  0.000  0.000  0.000
I  0.500  0.500  0.000
F  0.128  0.179  0.810
F  0.157  0.696  0.841
F  0.351  0.145  0.303
F  0.649  0.855  0.697
F  0.843  0.304  0.159
F  0.872  0.821  0.190

---

No. 4
Computed powder diffractogram of Al2InF8 for copper Kα, from a cell relaxed with PBE.
No peak broadening, texture or thermal motion is included.

Principal peaks in the range 2θ from 5° to 70°, by intensity:
2theta  Rel. int.
17.78  100.0
40.98  81.8
24.07  71.9
23.68  69.3
25.42  67.5
26.36  61.2
30.80  37.6
34.61  36.5

Crystal structure
abc: 5.700 5.700 5.218
angles: 95.19 95.19 61.23
Positions (direct):
Al  0.225  0.225  0.491
Al  0.775  0.775  0.509
In  0.500  0.500  0.000
F  0.116  0.116  0.727
F  0.130  0.572  0.654
F  0.322  0.322  0.219
F  0.428  0.870  0.346
F  0.572  0.130  0.654
F  0.678  0.678  0.781
F  0.870  0.428  0.346
F  0.884  0.884  0.273

---

No. 5
Computed powder diffractogram of Al2InF6 for copper Kα, from a cell relaxed with PBE.
No peak broadening, texture or thermal motion is included.

Principal peaks in the range 2θ from 5° to 70°, by intensity:
2theta  Rel. int.
12.13  100.0
22.52  59.1
20.34  45.2
34.47  31.1
19.25  27.8
45.97  26.9
26.86  22.8
34.97  21.8

Crystal structure
abc: 8.170 8.170 5.470
angles: 103.48 103.48 64.61
Positions (direct):
Al  0.119  0.307  0.477
Al  0.307  0.119  0.977
Al  0.693  0.881  0.023
Al  0.881  0.693  0.523
In  0.443  0.557  0.750
In  0.557  0.443  0.250
F  0.000  0.498  0.292
F  0.000  0.502  0.708
F  0.142  0.146  0.681
F  0.146  0.142  0.181
F  0.298  0.334  0.055
F  0.334  0.298  0.555
F  0.498  0.000  0.792
F  0.502  0.000  0.208
F  0.666  0.702  0.445
F  0.702  0.666  0.945
F  0.854  0.858  0.819
F  0.858  0.854  0.319

---

No. 6
Computed powder diffractogram of AlIn2F5 for copper Kα, from a cell relaxed with PBE.
No peak broadening, texture or thermal motion is included.

Principal peaks in the range 2θ from 5° to 70°, by intensity:
2theta  Rel. int.
25.63  100.0
29.99  61.5
28.92  33.3
44.83  22.4
34.32  18.4
52.68  16.3
33.48  16.2
46.56  15.6

Crystal structure
abc: 7.385 7.385 7.277
angles: 94.95 94.95 42.50
Positions (direct):
Al  0.000  0.000  0.000
Al  0.000  0.000  0.500
In  0.315  0.352  0.669
In  0.352  0.315  0.169
In  0.648  0.685  0.831
In  0.685  0.648  0.331
F  0.040  0.728  0.013
F  0.102  0.898  0.750
F  0.222  0.649  0.430
F  0.272  0.960  0.487
F  0.351  0.778  0.070
F  0.649  0.222  0.930
F  0.728  0.040  0.513
F  0.778  0.351  0.570
F  0.898  0.102  0.250
F  0.960  0.272  0.987

---

No. 7
Computed powder diffractogram of Li2AlInF6 for copper Kα, from a cell relaxed with PBE.
No peak broadening, texture or thermal motion is included.

Principal peaks in the range 2θ from 5° to 70°, by intensity:
2theta  Rel. int.
20.77  100.0
32.09  63.9
39.56  49.7
36.19  47.6
18.49  46.4
34.52  40.7
28.21  36.0
24.19  31.3

Crystal structure
abc: 5.653 5.653 5.653
angles: 118.25 98.79 111.95
Positions (direct):
Li  0.196  0.000  0.196
Li  0.804  0.000  0.804
Al  0.500  0.500  0.000
In  0.908  0.408  0.500
F  0.210  0.210  0.000
F  0.330  0.283  0.601
F  0.330  0.729  0.046
F  0.683  0.283  0.954
F  0.683  0.729  0.399
F  0.795  0.795  0.000

---

No. 8
Computed powder diffractogram of MgAl2InF8 for copper Kα, from a cell relaxed with PBE.
No peak broadening, texture or thermal motion is included.

Principal peaks in the range 2θ from 5° to 70°, by intensity:
2theta  Rel. int.
23.25  100.0
32.59  26.7
34.27  24.1
52.84  18.6
47.53  15.8
25.49  13.7
31.29  12.8
37.97  12.3

Crystal structure
abc: 9.144 9.144 9.144
angles: 34.98 34.98 34.98
Positions (direct):
Mg  0.000  0.000  0.000
Al  0.261  0.261  0.261
Al  0.739  0.739  0.739
In  0.500  0.500  0.500
F  0.099  0.617  0.148
F  0.148  0.099  0.617
F  0.196  0.196  0.196
F  0.383  0.852  0.901
F  0.617  0.148  0.099
F  0.804  0.804  0.804
F  0.852  0.901  0.383
F  0.901  0.383  0.852

---

No. 9
Computed powder diffractogram of KAlF4 for copper Kα, from a cell relaxed with PBE.
No peak broadening, texture or thermal motion is included.

Principal peaks in the range 2θ from 5° to 70°, by intensity:
2theta  Rel. int.
39.49  100.0
12.82  66.5
18.11  51.9
45.23  44.9
24.31  42.2
25.29  41.5
42.88  38.7
49.49  37.8

Crystal structure
abc: 8.437 7.367 12.030
angles: 90.00 90.00 90.00
Positions (direct):
K  0.068  0.250  0.104
K  0.130  0.250  0.748
K  0.370  0.750  0.248
K  0.432  0.750  0.604
K  0.568  0.250  0.396
K  0.630  0.250  0.752
K  0.870  0.750  0.252
K  0.932  0.750  0.896
Al  0.130  0.003  0.417
Al  0.130  0.497  0.417
Al  0.370  0.503  0.917
Al  0.370  0.997  0.917
Al  0.630  0.003  0.083
Al  0.630  0.497  0.083
Al  0.870  0.503  0.583
Al  0.870  0.997  0.583
F  0.096  0.506  0.572
F  0.096  0.994  0.572
F  0.115  0.750  0.417
F  0.120  0.501  0.270
F  0.120  0.999  0.270
F  0.134  0.250  0.423
F  0.162  0.014  0.930
F  0.162  0.486  0.930
F  0.338  0.514  0.430
F  0.338  0.986  0.430
F  0.366  0.750  0.923
F  0.380  0.001  0.770
F  0.380  0.499  0.770
F  0.385  0.250  0.917
F  0.404  0.006  0.072
F  0.404  0.494  0.072
F  0.596  0.506  0.928
F  0.596  0.994  0.928
F  0.615  0.750  0.083
F  0.620  0.501  0.230
F  0.620  0.999  0.230
F  0.634  0.250  0.077
F  0.662  0.014  0.570
F  0.662  0.486  0.570
F  0.838  0.514  0.070
F  0.838  0.986  0.070
F  0.866  0.750  0.577
F  0.880  0.001  0.730
F  0.880  0.499  0.730
F  0.885  0.250  0.583
F  0.904  0.006  0.428
F  0.904  0.494  0.428

---

No. 10
Computed powder diffractogram of KLiAl2Si4O10F2 for copper Kα, from a cell relaxed with PBE.
No peak broadening, texture or thermal motion is included.

Principal peaks in the range 2θ from 5° to 70°, by intensity:
2theta  Rel. int.
8.04  100.0
23.26  50.2
27.36  41.7
25.22  24.6
36.23  19.0
40.07  16.8
19.27  16.6
32.57  15.6

Crystal structure
abc: 5.323 5.323 11.189
angles: 95.32 95.32 119.85
Positions (direct):
K  0.000  0.000  0.000
Li  0.500  0.500  0.500
Al  0.171  0.829  0.500
Al  0.829  0.171  0.500
Si  0.243  0.582  0.749
Si  0.418  0.757  0.251
Si  0.582  0.243  0.749
Si  0.757  0.418  0.251
O  0.066  0.547  0.194
O  0.168  0.535  0.596
O  0.412  0.412  0.796
O  0.453  0.934  0.806
O  0.465  0.832  0.404
O  0.535  0.168  0.596
O  0.547  0.066  0.194
O  0.588  0.588  0.204
O  0.832  0.465  0.404
O  0.934  0.453  0.806
F  0.117  0.117  0.418
F  0.883  0.883  0.582